[1]
This entry pairs a crystal structure of Sr2CdIn2Hg4 with its computed powder diffractogram. Radiation: Cu Kα (λ = 1.5418 Å). Structure: a DFT-relaxed cell (PBE, Alexandria).
Peak positions follow from Bragg's law for the DFT cell and can differ from measured ones.

Cell and atoms:
Cell: 7.143 7.143 7.143 Å, 119.12 119.12 91.53°
Sites, in units of the cell vectors:
1 Sr 0.250 0.750 0.500
2 Sr 0.750 0.250 0.500
3 Cd 0.000 0.000 0.000
4 In 0.293 0.293 0.000
5 In 0.707 0.707 0.000
6 Hg 0.279 0.279 0.558
7 Hg 0.279 0.721 0.000
8 Hg 0.721 0.279 0.000
9 Hg 0.721 0.721 0.442

Most intense lines, 5° ≤ 2θ ≤ 70°, low angle first:
two_theta  d/Å  I/Imax
17.80  4.983  25
30.53  2.928  100
35.07  2.559  51
36.05  2.491  23
38.39  2.345  12
38.85  2.318  18
39.59  2.276  9
46.52  1.952  15
50.43  1.809  15
51.17  1.785  28
60.11  1.539  20
63.55  1.464  12

[2]
This entry pairs a crystal structure of CsNp2RhS4 with its computed powder diffractogram. Radiation: Cu Kα (λ = 1.5418 Å). Structure: a DFT-relaxed cell (PBE, Alexandria).
Peak positions follow from Bragg's law for the DFT cell and can differ from measured ones.

Cell and atoms:
Cell: 7.337 7.337 13.797 Å, 90.00 90.00 148.76°
Sites, in units of the cell vectors:
1 Cs 0.103 0.897 0.750
2 Cs 0.897 0.103 0.250
3 Np 0.366 0.634 0.561
4 Np 0.366 0.634 0.939
5 Np 0.634 0.366 0.061
6 Np 0.634 0.366 0.439
7 Rh 0.170 0.830 0.250
8 Rh 0.830 0.170 0.750
9 S 0.000 0.000 0.000
10 S 0.000 0.000 0.500
11 S 0.258 0.742 0.102
12 S 0.258 0.742 0.398
13 S 0.417 0.583 0.750
14 S 0.583 0.417 0.250
15 S 0.742 0.258 0.602
16 S 0.742 0.258 0.898

Most intense lines, 5° ≤ 2θ ≤ 70°, low angle first:
two_theta  d/Å  I/Imax
14.08  6.289  46
23.07  3.855  96
25.21  3.533  60
26.76  3.331  75
30.23  2.957  52
30.49  2.931  34
32.30  2.772  100
34.91  2.570  35
39.18  2.299  31
44.04  2.056  55
44.42  2.039  33
61.93  1.498  33

[3]
This entry pairs a crystal structure of MnCr3Te4 with its computed powder diffractogram. Radiation: Cu Kα (λ = 1.5418 Å). Structure: a DFT-relaxed cell (PBE, Alexandria).
Peak positions follow from Bragg's law for the DFT cell and can differ from measured ones.

Cell and atoms:
Cell: 7.363 7.363 7.183 Å, 119.14 119.14 32.76°
Sites, in units of the cell vectors:
1 Mn 0.000 0.000 0.000
2 Cr 0.244 0.244 0.241
3 Cr 0.500 0.500 0.500
4 Cr 0.756 0.756 0.759
5 Te 0.128 0.128 0.466
6 Te 0.375 0.375 0.045
7 Te 0.625 0.625 0.955
8 Te 0.872 0.872 0.534

Most intense lines, 5° ≤ 2θ ≤ 70°, low angle first:
two_theta  d/Å  I/Imax
28.85  3.095  100
29.35  3.043  7
38.77  2.323  52
43.62  2.075  44
51.74  1.767  19
53.14  1.723  18
53.44  1.714  8
59.76  1.547  14
60.88  1.522  5
69.91  1.346  6